Starting from a structure optimized by DFT (PBE), the PXRD pattern of KPmPt10 was computed for Cu Ka.
Peak positions follow from Bragg's law for the DFT cell and can differ from measured ones.

Top 6 peaks for 2θ from 10° to 80°, sorted by position:
- (0 1 1), 2θ 18.73, I = 57
- (1 2 0), 2θ 38.72, I = 51
- (1 1 3), 2θ 38.91, I = 100
- (2 0 0), 2θ 41.09, I = 53
- (1 2 2), 2θ 43.40, I = 75
- (1 0 4), 2θ 43.64, I = 36

```
data_KPmPt10
_cell_length_a 4.393
_cell_length_b 5.483
_cell_length_c 9.411
_cell_angle_alpha 90.00
_cell_angle_beta 90.00
_cell_angle_gamma 90.00
_space_group_name_H-M_alt 'P m m m'
_space_group_IT_number 47
_space_group_name_Hall '-P 2 2'
loop_
_atom_site_label
_atom_site_type_symbol
_atom_site_fract_x
_atom_site_fract_y
_atom_site_fract_z
_atom_site_occupancy
K1 K 0.000 0.000 0.000 1
Pm1 Pm 0.000 0.500 0.500 1
Pt1 Pt 0.000 0.000 0.336 1
Pt2 Pt 0.000 0.500 0.170 1
Pt3 Pt 0.500 0.000 0.500 1
Pt4 Pt 0.500 0.254 0.256 1
Pt5 Pt 0.500 0.500 0.000 1
```